Starting from the PBE geometry in Alexandria, the PXRD pattern of GaBiSb was computed for Cu Kα (weighted mean of Kα1 and Kα2).
Intensities are scaled so that the largest is 100.

The 10 most intense peaks (2θ = 15–90°), by intensity:
- 29.41 deg, 3.037 Å, I = 100
- 34.57 deg, 2.595 Å, I = 92
- 25.89 deg, 3.442 Å, I = 82
- 43.32 deg, 2.089 Å, I = 67
- 40.82 deg, 2.211 Å, I = 31
- 67.38 deg, 1.390 Å, I = 31
- 56.56 deg, 1.627 Å, I = 23
- 73.82 deg, 1.284 Å, I = 21
- 53.23 deg, 1.721 Å, I = 19
- 70.96 deg, 1.328 Å, I = 16

Structure:
a b c (Å): 4.1776 4.1776 11.1703
angles (deg): 90.00 90.00 120.00
Element x y z (fractional)
1 Ga 0.3333 0.6667 0.0000
2 Ga 0.6667 0.3333 0.5000
3 Bi 0.3333 0.6667 0.6714
4 Bi 0.6667 0.3333 0.1714
5 Sb 0.0000 0.0000 0.3594
6 Sb 0.0000 0.0000 0.8594

Starting from the PBE geometry in Alexandria, the PXRD pattern of GaBiSb2 was computed for Cu Kα (weighted mean of Kα1 and Kα2).
Intensities are scaled so that the largest is 100.

The 10 most intense peaks (2θ = 15–90°), by intensity:
- 31.56 deg, 2.835 Å, I = 100
- 25.69 deg, 3.468 Å, I = 95
- 36.66 deg, 2.452 Å, I = 89
- 43.60 deg, 2.076 Å, I = 63
- 31.40 deg, 2.849 Å, I = 50
- 25.97 deg, 3.431 Å, I = 47
- 37.88 deg, 2.375 Å, I = 40
- 58.22 deg, 1.585 Å, I = 35
- 42.46 deg, 2.129 Å, I = 34
- 65.79 deg, 1.419 Å, I = 31

Structure:
a b c (Å): 7.1351 4.2577 7.9170
angles (deg): 90.00 105.91 90.00
Element x y z (fractional)
1 Ga 0.0000 0.0000 0.0000
2 Ga 0.5000 0.5000 0.0000
3 Bi 0.3338 0.5000 0.4944
4 Bi 0.8338 0.0000 0.4944
5 Sb 0.2642 0.0000 0.7790
6 Sb 0.4144 0.0000 0.2295
7 Sb 0.7642 0.5000 0.7790
8 Sb 0.9144 0.5000 0.2295

Starting from the PBE geometry in Alexandria, the PXRD pattern of ScGaBi was computed for Cu Kα (weighted mean of Kα1 and Kα2).
Intensities are scaled so that the largest is 100.

The 10 most intense peaks (2θ = 15–90°), by intensity:
- 36.60 deg, 2.455 Å, I = 100
- 23.62 deg, 3.767 Å, I = 65
- 21.71 deg, 4.094 Å, I = 59
- 19.39 deg, 4.577 Å, I = 43
- 30.89 deg, 2.895 Å, I = 41
- 29.11 deg, 3.068 Å, I = 30
- 41.75 deg, 2.163 Å, I = 27
- 35.22 deg, 2.548 Å, I = 24
- 41.87 deg, 2.158 Å, I = 24
- 49.80 deg, 1.831 Å, I = 22

Structure:
a b c (Å): 9.1544 9.1544 4.1334
angles (deg): 90.00 90.00 90.00
Element x y z (fractional)
1 Sc 0.0110 0.8046 0.0000
2 Sc 0.1954 0.0110 0.5000
3 Sc 0.8046 0.9890 0.5000
4 Sc 0.9890 0.1954 0.0000
5 Ga 0.1997 0.6914 0.5000
6 Ga 0.3086 0.1997 0.0000
7 Ga 0.6914 0.8003 0.0000
8 Ga 0.8003 0.3086 0.5000
9 Bi 0.1796 0.3769 0.5000
10 Bi 0.3769 0.8204 0.0000
11 Bi 0.6231 0.1796 0.0000
12 Bi 0.8204 0.6231 0.5000

Starting from the PBE geometry in Alexandria, the PXRD pattern of ScGaBi was computed for Cu Kα (weighted mean of Kα1 and Kα2).
Intensities are scaled so that the largest is 100.

The 10 most intense peaks (2θ = 15–90°), by intensity:
- 31.56 deg, 2.835 Å, I = 100
- 22.19 deg, 4.007 Å, I = 47
- 50.94 deg, 1.793 Å, I = 46
- 38.95 deg, 2.312 Å, I = 44
- 65.94 deg, 1.417 Å, I = 34
- 45.25 deg, 2.004 Å, I = 20
- 61.17 deg, 1.515 Å, I = 18
- 79.27 deg, 1.208 Å, I = 11
- 87.79 deg, 1.112 Å, I = 9
- 70.54 deg, 1.335 Å, I = 8

Structure:
a b c (Å): 4.6249 4.6249 4.0132
angles (deg): 90.00 90.00 120.00
Element x y z (fractional)
1 Sc 0.0000 0.0000 0.0000
2 Ga 0.6667 0.3333 0.2005
3 Bi 0.3333 0.6667 0.5621

Starting from the PBE geometry in Alexandria, the PXRD pattern of GaBi2Se5 was computed for Cu Kα (weighted mean of Kα1 and Kα2).
Intensities are scaled so that the largest is 100.

The 10 most intense peaks (2θ = 15–90°), by intensity:
- 16.41 deg, 5.402 Å, I = 100
- 25.25 deg, 3.528 Å, I = 87
- 30.62 deg, 2.920 Å, I = 83
- 33.49 deg, 2.676 Å, I = 79
- 46.00 deg, 1.973 Å, I = 66
- 40.09 deg, 2.249 Å, I = 52
- 41.73 deg, 2.165 Å, I = 44
- 40.62 deg, 2.221 Å, I = 25
- 28.32 deg, 3.151 Å, I = 21
- 73.96 deg, 1.282 Å, I = 18

Structure:
a b c (Å): 7.6894 7.6894 12.1881
angles (deg): 90.00 90.00 135.37
Element x y z (fractional)
1 Ga 0.1882 0.8118 0.7500
2 Ga 0.8118 0.1882 0.2500
3 Bi 0.1595 0.8405 0.0681
4 Bi 0.1595 0.8405 0.4319
5 Bi 0.8405 0.1595 0.5681
6 Bi 0.8405 0.1595 0.9319
7 Se 0.0415 0.9585 0.6279
8 Se 0.0415 0.9585 0.8721
9 Se 0.2904 0.7096 0.2500
10 Se 0.3084 0.6916 0.5941
11 Se 0.3084 0.6916 0.9059
12 Se 0.6916 0.3084 0.0941
13 Se 0.6916 0.3084 0.4059
14 Se 0.7096 0.2904 0.7500
15 Se 0.9585 0.0415 0.1279
16 Se 0.9585 0.0415 0.3721

Starting from the PBE geometry in Alexandria, the PXRD pattern of Tl2GaBiSe4 was computed for Cu Kα (weighted mean of Kα1 and Kα2).
Intensities are scaled so that the largest is 100.

The 10 most intense peaks (2θ = 15–90°), by intensity:
- 33.49 deg, 2.676 Å, I = 100
- 30.92 deg, 2.892 Å, I = 53
- 21.73 deg, 4.090 Å, I = 53
- 56.66 deg, 1.624 Å, I = 38
- 27.45 deg, 3.250 Å, I = 37
- 51.63 deg, 1.770 Å, I = 35
- 40.28 deg, 2.239 Å, I = 32
- 49.86 deg, 1.829 Å, I = 27
- 74.63 deg, 1.272 Å, I = 19
- 78.79 deg, 1.215 Å, I = 17

Structure:
a b c (Å): 8.1792 8.1792 7.0775
angles (deg): 90.00 90.00 90.00
Element x y z (fractional)
1 Tl 0.0000 0.5000 0.0000
2 Tl 0.0000 0.5000 0.5000
3 Tl 0.5000 0.0000 0.0000
4 Tl 0.5000 0.0000 0.5000
5 Ga 0.0000 0.0000 0.0000
6 Ga 0.5000 0.5000 0.5000
7 Bi 0.0000 0.0000 0.5000
8 Bi 0.5000 0.5000 0.0000
9 Se 0.1713 0.1713 0.7903
10 Se 0.1713 0.8287 0.2097
11 Se 0.3287 0.3287 0.2903
12 Se 0.3287 0.6713 0.7097
13 Se 0.6713 0.3287 0.7097
14 Se 0.6713 0.6713 0.2903
15 Se 0.8287 0.1713 0.2097
16 Se 0.8287 0.8287 0.7903

Starting from the PBE geometry in Alexandria, the PXRD pattern of Sm5GaBi2 was computed for Cu Kα (weighted mean of Kα1 and Kα2).
Intensities are scaled so that the largest is 100.

The 10 most intense peaks (2θ = 15–90°), by intensity:
- 29.95 deg, 2.983 Å, I = 100
- 33.17 deg, 2.701 Å, I = 76
- 31.22 deg, 2.865 Å, I = 26
- 43.83 deg, 2.066 Å, I = 21
- 63.34 deg, 1.468 Å, I = 20
- 55.28 deg, 1.662 Å, I = 18
- 35.36 deg, 2.538 Å, I = 17
- 37.14 deg, 2.421 Å, I = 13
- 23.94 deg, 3.717 Å, I = 12
- 53.19 deg, 1.722 Å, I = 10

Structure:
a b c (Å): 6.5626 6.5626 14.4468
angles (deg): 90.00 90.00 125.97
Element x y z (fractional)
1 Sm 0.0750 0.9250 0.7500
2 Sm 0.1243 0.8757 0.0530
3 Sm 0.1243 0.8757 0.4470
4 Sm 0.4199 0.5801 0.1050
5 Sm 0.4199 0.5801 0.3950
6 Sm 0.5801 0.4199 0.6050
7 Sm 0.5801 0.4199 0.8950
8 Sm 0.8757 0.1243 0.5530
9 Sm 0.8757 0.1243 0.9470
10 Sm 0.9250 0.0750 0.2500
11 Ga 0.2153 0.7847 0.2500
12 Ga 0.7847 0.2153 0.7500
13 Bi 0.3029 0.6971 0.6202
14 Bi 0.3029 0.6971 0.8798
15 Bi 0.6971 0.3029 0.1202
16 Bi 0.6971 0.3029 0.3798

Starting from the PBE geometry in Alexandria, the PXRD pattern of Sm12Ga6Bi was computed for Cu Kα (weighted mean of Kα1 and Kα2).
Intensities are scaled so that the largest is 100.

The 10 most intense peaks (2θ = 15–90°), by intensity:
- 32.41 deg, 2.763 Å, I = 100
- 29.94 deg, 2.984 Å, I = 47
- 54.74 deg, 1.677 Å, I = 35
- 27.28 deg, 3.269 Å, I = 31
- 51.55 deg, 1.773 Å, I = 31
- 44.70 deg, 2.027 Å, I = 22
- 63.65 deg, 1.462 Å, I = 21
- 34.71 deg, 2.584 Å, I = 20
- 79.81 deg, 1.202 Å, I = 15
- 78.52 deg, 1.218 Å, I = 15

Structure:
a b c (Å): 8.9522 8.9522 8.9522
angles (deg): 109.47 109.47 109.47
Element x y z (fractional)
1 Sm 0.1088 0.2980 0.8108
2 Sm 0.1892 0.4873 0.2980
3 Sm 0.1892 0.8912 0.7020
4 Sm 0.2980 0.1892 0.4873
5 Sm 0.2980 0.8108 0.1088
6 Sm 0.4873 0.2980 0.1892
7 Sm 0.5127 0.7020 0.8108
8 Sm 0.7020 0.1892 0.8912
9 Sm 0.7020 0.8108 0.5127
10 Sm 0.8108 0.1088 0.2980
11 Sm 0.8108 0.5127 0.7020
12 Sm 0.8912 0.7020 0.1892
13 Ga 0.1205 0.5000 0.6205
14 Ga 0.3795 0.8795 0.5000
15 Ga 0.5000 0.3795 0.8795
16 Ga 0.5000 0.6205 0.1205
17 Ga 0.6205 0.1205 0.5000
18 Ga 0.8795 0.5000 0.3795
19 Bi 0.0000 0.0000 0.0000

Starting from the PBE geometry in Alexandria, the PXRD pattern of Ga2SnBi2 was computed for Cu Kα (weighted mean of Kα1 and Kα2).
Intensities are scaled so that the largest is 100.

The 10 most intense peaks (2θ = 15–90°), by intensity:
- 34.33 deg, 2.612 Å, I = 100
- 33.82 deg, 2.650 Å, I = 52
- 27.36 deg, 3.259 Å, I = 48
- 58.77 deg, 1.571 Å, I = 44
- 23.18 deg, 3.837 Å, I = 40
- 38.37 deg, 2.346 Å, I = 38
- 46.16 deg, 1.967 Å, I = 36
- 32.18 deg, 2.781 Å, I = 31
- 62.83 deg, 1.479 Å, I = 28
- 54.49 deg, 1.684 Å, I = 15

Structure:
a b c (Å): 3.9334 3.9334 17.4656
angles (deg): 90.00 90.00 90.00
Element x y z (fractional)
1 Ga 0.0000 0.5000 0.2500
2 Ga 0.0000 0.5000 0.7500
3 Ga 0.5000 0.0000 0.2500
4 Ga 0.5000 0.0000 0.7500
5 Sn 0.0000 0.0000 0.0000
6 Sn 0.5000 0.5000 0.5000
7 Bi 0.0000 0.0000 0.3962
8 Bi 0.0000 0.0000 0.6038
9 Bi 0.5000 0.5000 0.1038
10 Bi 0.5000 0.5000 0.8962

Starting from the PBE geometry in Alexandria, the PXRD pattern of GaSnBiTe was computed for Cu Kα (weighted mean of Kα1 and Kα2).
Intensities are scaled so that the largest is 100.

The 10 most intense peaks (2θ = 15–90°), by intensity:
- 27.25 deg, 3.272 Å, I = 100
- 41.26 deg, 2.188 Å, I = 70
- 33.83 deg, 2.649 Å, I = 60
- 23.73 deg, 3.750 Å, I = 59
- 20.55 deg, 4.323 Å, I = 49
- 45.30 deg, 2.002 Å, I = 48
- 46.52 deg, 1.952 Å, I = 35
- 24.47 deg, 3.638 Å, I = 26
- 42.22 deg, 2.140 Å, I = 24
- 29.18 deg, 3.060 Å, I = 21

Structure:
a b c (Å): 7.5805 4.3762 9.0128
angles (deg): 90.00 106.42 90.00
Element x y z (fractional)
1 Ga 0.0000 0.0000 0.0000
2 Ga 0.5000 0.5000 0.0000
3 Sn 0.3967 0.5000 0.6925
4 Sn 0.8967 0.0000 0.6925
5 Bi 0.1735 0.0000 0.5241
6 Bi 0.6735 0.5000 0.5241
7 Te 0.2121 0.5000 0.1352
8 Te 0.7121 0.0000 0.1352

Starting from the PBE geometry in Alexandria, the PXRD pattern of Sr4GaBi4 was computed for Cu Kα (weighted mean of Kα1 and Kα2).
Intensities are scaled so that the largest is 100.

The 10 most intense peaks (2θ = 15–90°), by intensity:
- 25.75 deg, 3.459 Å, I = 100
- 36.37 deg, 2.470 Å, I = 85
- 36.74 deg, 2.446 Å, I = 51
- 22.11 deg, 4.021 Å, I = 50
- 25.24 deg, 3.529 Å, I = 41
- 45.10 deg, 2.010 Å, I = 35
- 65.94 deg, 1.417 Å, I = 35
- 59.53 deg, 1.553 Å, I = 19
- 59.78 deg, 1.547 Å, I = 19
- 43.30 deg, 2.090 Å, I = 19

Structure:
a b c (Å): 9.7842 9.7842 7.0574
angles (deg): 90.00 90.00 90.00
Element x y z (fractional)
1 Sr 0.0094 0.2500 0.0461
2 Sr 0.2500 0.0094 0.5461
3 Sr 0.2500 0.4906 0.5461
4 Sr 0.4906 0.2500 0.0461
5 Sr 0.5094 0.7500 0.9539
6 Sr 0.7500 0.5094 0.4539
7 Sr 0.7500 0.9906 0.4539
8 Sr 0.9906 0.7500 0.9539
9 Ga 0.2500 0.7500 0.2500
10 Ga 0.7500 0.2500 0.7500
11 Bi 0.0076 0.7500 0.4663
12 Bi 0.2500 0.5076 0.0337
13 Bi 0.2500 0.9924 0.0337
14 Bi 0.4924 0.7500 0.4663
15 Bi 0.5076 0.2500 0.5337
16 Bi 0.7500 0.0076 0.9663
17 Bi 0.7500 0.4924 0.9663
18 Bi 0.9924 0.2500 0.5337

Starting from the PBE geometry in Alexandria, the PXRD pattern of SrGaBi3 was computed for Cu Kα (weighted mean of Kα1 and Kα2).
Intensities are scaled so that the largest is 100.

The 10 most intense peaks (2θ = 15–90°), by intensity:
- 30.03 deg, 2.976 Å, I = 100
- 32.45 deg, 2.759 Å, I = 93
- 26.59 deg, 3.352 Å, I = 81
- 31.35 deg, 2.853 Å, I = 63
- 30.45 deg, 2.936 Å, I = 63
- 34.35 deg, 2.610 Å, I = 54
- 22.58 deg, 3.937 Å, I = 53
- 32.35 deg, 2.768 Å, I = 42
- 43.44 deg, 2.083 Å, I = 41
- 39.44 deg, 2.285 Å, I = 38

Structure:
a b c (Å): 9.9876 6.7018 12.1750
angles (deg): 90.00 126.98 90.00
Element x y z (fractional)
1 Sr 0.2002 0.2388 0.4219
2 Sr 0.2002 0.2612 0.9219
3 Sr 0.7998 0.7388 0.0781
4 Sr 0.7998 0.7612 0.5781
5 Ga 0.2025 0.5479 0.6733
6 Ga 0.2025 0.9521 0.1733
7 Ga 0.7975 0.0479 0.8267
8 Ga 0.7975 0.4521 0.3267
9 Bi 0.0208 0.7080 0.9308
10 Bi 0.0208 0.7920 0.4308
11 Bi 0.3412 0.7219 0.4213
12 Bi 0.3412 0.7781 0.9213
13 Bi 0.4664 0.5395 0.2452
14 Bi 0.4664 0.9605 0.7452
15 Bi 0.5336 0.0395 0.2548
16 Bi 0.5336 0.4605 0.7548
17 Bi 0.6588 0.2219 0.0787
18 Bi 0.6588 0.2781 0.5787
19 Bi 0.9792 0.2080 0.5692
20 Bi 0.9792 0.2920 0.0692

Starting from the PBE geometry in Alexandria, the PXRD pattern of Tb2GaBi was computed for Cu Kα (weighted mean of Kα1 and Kα2).
Intensities are scaled so that the largest is 100.

The 10 most intense peaks (2θ = 15–90°), by intensity:
- 29.05 deg, 3.074 Å, I = 100
- 40.48 deg, 2.228 Å, I = 41
- 42.59 deg, 2.123 Å, I = 36
- 52.38 deg, 1.747 Å, I = 20
- 66.71 deg, 1.402 Å, I = 19
- 69.72 deg, 1.349 Å, I = 17
- 76.52 deg, 1.245 Å, I = 13
- 60.21 deg, 1.537 Å, I = 13
- 48.76 deg, 1.868 Å, I = 8
- 24.54 deg, 3.628 Å, I = 8

Structure:
a b c (Å): 4.2455 4.2455 22.4108
angles (deg): 90.00 90.00 120.00
Element x y z (fractional)
1 Tb 0.0000 0.0000 0.2475
2 Tb 0.0000 0.0000 0.7525
3 Tb 0.3333 0.6667 0.4192
4 Tb 0.3333 0.6667 0.9142
5 Tb 0.6667 0.3333 0.0858
6 Tb 0.6667 0.3333 0.5808
7 Ga 0.0000 0.0000 0.5000
8 Ga 0.3333 0.6667 0.1667
9 Ga 0.6667 0.3333 0.8333
10 Bi 0.0000 0.0000 0.0000
11 Bi 0.3333 0.6667 0.6667
12 Bi 0.6667 0.3333 0.3333

Starting from the PBE geometry in Alexandria, the PXRD pattern of Ga2BiTe4 was computed for Cu Kα (weighted mean of Kα1 and Kα2).
Intensities are scaled so that the largest is 100.

The 10 most intense peaks (2θ = 15–90°), by intensity:
- 27.11 deg, 3.289 Å, I = 100
- 43.13 deg, 2.097 Å, I = 54
- 30.14 deg, 2.965 Å, I = 40
- 16.69 deg, 5.311 Å, I = 29
- 46.62 deg, 1.948 Å, I = 24
- 25.95 deg, 3.434 Å, I = 23
- 46.49 deg, 1.954 Å, I = 23
- 33.81 deg, 2.652 Å, I = 21
- 71.14 deg, 1.325 Å, I = 17
- 48.61 deg, 1.873 Å, I = 12

Structure:
a b c (Å): 8.3770 8.3770 6.8683
angles (deg): 90.00 90.00 90.00
Element x y z (fractional)
1 Ga 0.0000 0.5000 0.2500
2 Ga 0.0000 0.5000 0.7500
3 Ga 0.5000 0.0000 0.2500
4 Ga 0.5000 0.0000 0.7500
5 Bi 0.0000 0.0000 0.0000
6 Bi 0.5000 0.5000 0.5000
7 Te 0.1667 0.6807 0.5000
8 Te 0.1807 0.3333 0.0000
9 Te 0.3193 0.1667 0.5000
10 Te 0.3333 0.8193 0.0000
11 Te 0.6667 0.1807 0.0000
12 Te 0.6807 0.8333 0.5000
13 Te 0.8193 0.6667 0.0000
14 Te 0.8333 0.3193 0.5000